1.
Starting from the GGA-PBE geometry in OQMD, the powder diffractogram of SmGd2Ni2B2N3 was simulated for copper Kα.

Principal peaks in the range 2θ = 10–90°, sorted by position:
Position (°2θ), I (rel.)
28.53, 1000
33.69, 778
35.51, 521
35.96, 395
37.08, 398
40.28, 376
51.77, 380
60.17, 267
63.19, 263
64.35, 353

Atomic structure:
a b c (Å): 10.417 10.417 10.417
angles (deg): 160.48 160.48 27.74
Atoms (fractional coordinates):
Sm 0.000 0.000 0.000
Gd 0.375 0.375 0.000
Gd 0.625 0.625 0.000
Ni 0.250 0.750 0.500
Ni 0.750 0.250 0.500
B 0.192 0.192 0.000
B 0.808 0.808 0.000
N 0.120 0.120 0.000
N 0.500 0.500 0.000
N 0.880 0.880 0.000


2.
Starting from the GGA-PBE geometry in OQMD, the powder diffractogram of ScB4W was simulated for copper Kα.

Principal peaks in the range 2θ = 10–90°, sorted by position:
Position (°2θ), I (rel.)
15.55, 452
16.87, 1000
21.64, 642
25.22, 949
30.50, 438
31.20, 431
38.55, 613
40.54, 568
43.59, 465
46.63, 946

Atomic structure:
a b c (Å): 5.923 11.395 3.531
angles (deg): 90.00 90.00 90.00
Atoms (fractional coordinates):
Sc 0.129 0.148 0.000
Sc 0.371 0.648 0.000
Sc 0.629 0.352 0.000
Sc 0.871 0.852 0.000
B 0.017 0.697 0.500
B 0.116 0.550 0.500
B 0.130 0.969 0.500
B 0.205 0.812 0.500
B 0.295 0.312 0.500
B 0.370 0.469 0.500
B 0.384 0.050 0.500
B 0.483 0.197 0.500
B 0.517 0.803 0.500
B 0.616 0.950 0.500
B 0.630 0.531 0.500
B 0.705 0.688 0.500
B 0.795 0.188 0.500
B 0.870 0.031 0.500
B 0.884 0.450 0.500
B 0.983 0.303 0.500
W 0.135 0.414 0.000
W 0.365 0.914 0.000
W 0.635 0.086 0.000
W 0.865 0.586 0.000


3.
Starting from the GGA-PBE geometry in OQMD, the powder diffractogram of Ba3LiHg2 was simulated for copper Kα.

Principal peaks in the range 2θ = 10–90°, sorted by position:
Position (°2θ), I (rel.)
13.26, 455
25.19, 626
29.36, 1000
30.33, 932
33.23, 216
34.43, 612
43.43, 351
53.29, 381
56.56, 297
57.56, 278

Atomic structure:
a b c (Å): 4.167 4.167 13.351
angles (deg): 90.00 90.00 90.00
Atoms (fractional coordinates):
Ba 0.000 0.000 0.000
Ba 0.000 0.000 0.305
Ba 0.500 0.500 0.726
Li 0.500 0.500 0.483
Hg 0.000 0.000 0.574
Hg 0.500 0.500 0.151